Calculated powder diffraction line list
Compound: CsBS2
Radiation: Cu Kα (weighted mean of Kα1 and Kα2)
Structure: DFT lattice parameters and positions (GGA-PBE)
Lines closer than 0.1° are merged.

Structure:
Lattice parameters (Å, degrees): 6.061 6.201 10.351 82.62 73.04 60.92
Positions (direct):
Cs 0.127 0.252 0.250
Cs 0.873 0.748 0.750
B 0.000 0.000 0.000
B 0.500 0.500 0.500
S 0.166 0.121 0.885
S 0.323 0.626 0.388
S 0.677 0.374 0.612
S 0.834 0.879 0.115

The 8 most intense peaks (10° ≤ 2θ ≤ 90°), in order of rising 2θ:
2θ 17.34, rel. 75, (1 0 0)
2θ 17.92, rel. 55, (0 0 2)
2θ 18.54, rel. 91, (0 1 -1)
2θ 21.61, rel. 100, (1 1 2)
2θ 28.26, rel. 68, (1 0 -2)
2θ 29.06, rel. 63, (1 -1 1)
2θ 29.19, rel. 44, (1 2 1)
2θ 30.86, rel. 67, (2 1 2)

=====

Calculated powder diffraction line list
Compound: Sm5HoTl4
Radiation: Cu Kα (weighted mean of Kα1 and Kα2)
Structure: DFT lattice parameters and positions (GGA-PBE)
Lines closer than 0.1° are merged.

Structure:
Lattice parameters (Å, degrees): 3.673 3.673 22.068 90.00 90.00 90.00
Positions (direct):
Sm 0.000 0.000 0.000
Sm 0.000 0.000 0.194
Sm 0.000 0.000 0.387
Sm 0.000 0.000 0.613
Sm 0.000 0.000 0.806
Ho 0.500 0.500 0.500
Tl 0.500 0.500 0.097
Tl 0.500 0.500 0.291
Tl 0.500 0.500 0.709
Tl 0.500 0.500 0.903

The 8 most intense peaks (10° ≤ 2θ ≤ 90°), in order of rising 2θ:
2θ 31.70, rel. 100, (1 0 5)
2θ 34.54, rel. 46, (1 1 0)
2θ 40.89, rel. 11, (0 0 10)
2θ 49.65, rel. 15, (2 0 0)
2θ 54.57, rel. 18, (1 1 10)
2θ 60.11, rel. 33, (2 1 5)
2θ 66.21, rel. 10, (2 0 10)
2θ 83.18, rel. 8, (3 1 0)

=====

Calculated powder diffraction line list
Compound: Mg3Ni2
Radiation: Cu Kα (weighted mean of Kα1 and Kα2)
Structure: DFT lattice parameters and positions (GGA-PBE)
Lines closer than 0.1° are merged.

Structure:
Lattice parameters (Å, degrees): 2.931 2.931 32.524 90.00 90.00 120.00
Positions (direct):
Mg 0.000 0.000 0.000
Mg 0.000 0.000 0.209
Mg 0.000 0.000 0.791
Mg 0.333 0.667 0.457
Mg 0.333 0.667 0.667
Mg 0.333 0.667 0.876
Mg 0.667 0.333 0.124
Mg 0.667 0.333 0.333
Mg 0.667 0.333 0.543
Ni 0.000 0.000 0.396
Ni 0.000 0.000 0.604
Ni 0.333 0.667 0.063
Ni 0.333 0.667 0.270
Ni 0.667 0.333 0.730
Ni 0.667 0.333 0.937

The 8 most intense peaks (10° ≤ 2θ ≤ 90°), in order of rising 2θ:
2θ 16.35, rel. 32, (0 0 6)
2θ 35.48, rel. 12, (1 0 1)
2θ 38.06, rel. 100, (0 1 5)
2θ 41.65, rel. 20, (0 0 15)
2θ 45.32, rel. 54, (1 0 10)
2θ 63.48, rel. 21, (1 1 0)
2θ 76.48, rel. 11, (2 0 5)
2θ 78.84, rel. 16, (1 1 15)

=====

Calculated powder diffraction line list
Compound: Al4Co3Ni
Radiation: Cu Kα (weighted mean of Kα1 and Kα2)
Structure: DFT lattice parameters and positions (GGA-PBE)
Lines closer than 0.1° are merged.

Structure:
Lattice parameters (Å, degrees): 2.838 2.838 11.662 90.00 90.00 90.00
Positions (direct):
Al 0.000 0.000 0.124
Al 0.000 0.000 0.372
Al 0.000 0.000 0.628
Al 0.000 0.000 0.876
Co 0.500 0.500 0.000
Co 0.500 0.500 0.248
Co 0.500 0.500 0.752
Ni 0.500 0.500 0.500

The 8 most intense peaks (10° ≤ 2θ ≤ 90°), in order of rising 2θ:
2θ 30.66, rel. 12, (0 0 4)
2θ 31.52, rel. 22, (1 0 0)
2θ 44.55, rel. 100, (1 0 4)
2θ 45.18, rel. 48, (1 1 0)
2θ 63.85, rel. 8, (0 0 8)
2θ 65.80, rel. 15, (2 0 0)
2θ 81.63, rel. 15, (1 1 8)
2θ 82.96, rel. 29, (2 1 4)

=====

What did the fourth record say?
Calculated powder diffraction line list
Compound: Al4Co3Ni
Radiation: Cu Kα (weighted mean of Kα1 and Kα2)
Structure: DFT lattice parameters and positions (GGA-PBE)
Lines closer than 0.1° are merged.

Structure:
Lattice parameters (Å, degrees): 2.838 2.838 11.662 90.00 90.00 90.00
Positions (direct):
Al 0.000 0.000 0.124
Al 0.000 0.000 0.372
Al 0.000 0.000 0.628
Al 0.000 0.000 0.876
Co 0.500 0.500 0.000
Co 0.500 0.500 0.248
Co 0.500 0.500 0.752
Ni 0.500 0.500 0.500

The 8 most intense peaks (10° ≤ 2θ ≤ 90°), in order of rising 2θ:
2θ 30.66, rel. 12, (0 0 4)
2θ 31.52, rel. 22, (1 0 0)
2θ 44.55, rel. 100, (1 0 4)
2θ 45.18, rel. 48, (1 1 0)
2θ 63.85, rel. 8, (0 0 8)
2θ 65.80, rel. 15, (2 0 0)
2θ 81.63, rel. 15, (1 1 8)
2θ 82.96, rel. 29, (2 1 4)